Structure and calculated powder diffractogram of Al9Fe2 (a crystal structure in the Materials Project, relaxed with PBE; Cu Kα (weighted mean of Kα1 and Kα2)).
No peak broadening, texture or thermal motion is included.

Cell and atoms:
```
data_Al9Fe2
_chemical_formula_sum 'Al18 Fe4'
_cell_length_a 6.1101
_cell_length_b 6.3083
_cell_length_c 8.6803
_cell_angle_alpha 90.00
_cell_angle_beta 95.19
_cell_angle_gamma 90.00
_space_group_name_H-M_alt 'P 1 21/c 1'
_space_group_IT_number 14
loop_
_space_group_symop_operation_xyz
'x,y,z'
'-x,-y,-z'
'-x,y+1/2,-z+1/2'
'x,-y+1/2,z+1/2'
loop_
_atom_site_label
_atom_site_type_symbol
_atom_site_fract_x
_atom_site_fract_y
_atom_site_fract_z
Al1 Al 0.0000 0.0000 0.0000
Al2 Al 0.0791 0.1990 0.7271
Al3 Al 0.2197 0.6178 0.0461
Al4 Al 0.3905 0.1869 0.9961
Al5 Al 0.4162 0.5468 0.7683
Fe1 Fe 0.2636 0.6179 0.3346
```

Principal peaks in the range 2θ from 15° to 90°, sorted by position:
2θ = 20.28°, rel. 90, (1 1 0); 2θ = 23.36°, rel. 73, (1 1 1); 2θ = 39.05°, rel. 77, (1 2 2); 2θ = 40.38°, rel. 84, (2 1 2); 2θ = 41.86°, rel. 75, (0 0 4); 2θ = 43.69°, rel. 100, (2 1 -3); 2θ = 45.63°, rel. 92, (1 3 0); 2θ = 46.13°, rel. 75, (1 2 3); 2θ = 46.59°, rel. 78, (1 3 -1); 2θ = 47.06°, rel. 70, (3 1 0)

=====

Structure and calculated powder diffractogram of KBaN (a crystal structure in the Materials Project, relaxed with PBE; Cu Kα (weighted mean of Kα1 and Kα2)).
No peak broadening, texture or thermal motion is included.

Cell and atoms:
```
data_KBaN
_chemical_formula_sum 'K3 Ba3 N3'
_cell_length_a 4.1434
_cell_length_b 4.1434
_cell_length_c 21.3438
_cell_angle_alpha 90.00
_cell_angle_beta 90.00
_cell_angle_gamma 120.00
_space_group_name_H-M_alt 'R 3 m'
_space_group_IT_number 160
_space_group_name_Hall 'R 3 -2"'
loop_
_atom_site_label
_atom_site_type_symbol
_atom_site_fract_x
_atom_site_fract_y
_atom_site_fract_z
K1 K 0.0000 0.0000 0.0000
Ba1 Ba 0.0000 0.0000 0.5363
N1 N 0.0000 0.0000 0.2559
```

Principal peaks in the range 2θ from 15° to 90°, sorted by position:
2θ = 25.03°, rel. 29, (0 0 6); 2θ = 25.17°, rel. 35, (1 0 1); 2θ = 26.20°, rel. 100, (0 1 2); 2θ = 30.01°, rel. 86, (1 0 4); 2θ = 32.60°, rel. 27, (0 1 5); 2θ = 38.75°, rel. 33, (1 0 7); 2θ = 42.21°, rel. 20, (0 1 8); 2θ = 43.69°, rel. 34, (1 1 0); 2θ = 45.61°, rel. 23, (1 1 3); 2θ = 51.03°, rel. 30, (1 1 6)

=====

Structure and calculated powder diffractogram of Mg6CuW (a crystal structure in the Materials Project, relaxed with PBE; Cu Kα (weighted mean of Kα1 and Kα2)).
No peak broadening, texture or thermal motion is included.

Cell and atoms:
```
data_Mg6CuW
_chemical_formula_sum 'Mg12 Cu2 W2'
_cell_length_a 4.7932
_cell_length_b 5.9965
_cell_length_c 10.4954
_cell_angle_alpha 90.00
_cell_angle_beta 90.00
_cell_angle_gamma 90.00
_space_group_name_H-M_alt 'A m m 2'
_space_group_IT_number 38
loop_
_space_group_symop_operation_xyz
'x,y,z'
'-x,-y,z'
'-x,y,z'
'x,-y,z'
'x,y+1/2,z+1/2'
'-x,-y+1/2,z+1/2'
'-x,y+1/2,z+1/2'
'x,-y+1/2,z+1/2'
loop_
_atom_site_label
_atom_site_type_symbol
_atom_site_fract_x
_atom_site_fract_y
_atom_site_fract_z
Mg1 Mg 0.0000 0.0000 0.0000
Mg2 Mg 0.0000 0.2361 0.2572
Mg3 Mg 0.5000 0.0000 0.8333
Mg4 Mg 0.5000 0.2409 0.5829
Cu1 Cu 0.0000 0.0000 0.4817
W1 W 0.5000 0.0000 0.3396
```

Principal peaks in the range 2θ from 15° to 90°, sorted by position:
2θ = 16.90°, rel. 37, (0 0 2); 2θ = 17.03°, rel. 100, (0 1 1); 2θ = 25.21°, rel. 62, (1 0 2); 2θ = 34.45°, rel. 29, (0 2 2); 2θ = 35.11°, rel. 35, (1 1 3); 2θ = 37.53°, rel. 32, (2 0 0); 2θ = 39.14°, rel. 48, (1 0 4); 2θ = 39.39°, rel. 79, (1 2 2); 2θ = 41.46°, rel. 30, (2 1 1); 2θ = 51.85°, rel. 18, (2 2 2)

=====

Structure and calculated powder diffractogram of NbMoN2 (a crystal structure in the Materials Project, relaxed with PBE; Cu Kα (weighted mean of Kα1 and Kα2)).
No peak broadening, texture or thermal motion is included.

Cell and atoms:
```
data_NbMoN2
_chemical_formula_sum 'Nb3 Mo3 N6'
_cell_length_a 3.1414
_cell_length_b 3.1414
_cell_length_c 15.0089
_cell_angle_alpha 90.00
_cell_angle_beta 90.00
_cell_angle_gamma 120.00
_space_group_name_H-M_alt 'R -3 m'
_space_group_IT_number 166
_space_group_name_Hall '-R 3 2"'
loop_
_atom_site_label
_atom_site_type_symbol
_atom_site_fract_x
_atom_site_fract_y
_atom_site_fract_z
Nb1 Nb 0.0000 0.0000 0.0000
Mo1 Mo 0.0000 0.0000 0.5000
N1 N 0.0000 0.0000 0.2490
```

Principal peaks in the range 2θ from 15° to 90°, sorted by position:
2θ = 35.09°, rel. 90, (0 1 2); 2θ = 35.90°, rel. 28, (0 0 6); 2θ = 40.98°, rel. 100, (1 0 4); 2θ = 58.79°, rel. 32, (1 1 0); 2θ = 59.89°, rel. 30, (0 1 8); 2θ = 70.34°, rel. 12, (2 0 2); 2θ = 70.84°, rel. 24, (1 1 6); 2θ = 71.84°, rel. 12, (1 0 10); 2θ = 74.15°, rel. 16, (0 2 4); 2θ = 88.86°, rel. 10, (2 0 8)

=====

Structure and calculated powder diffractogram of CsCdBr3 (a crystal structure in the Materials Project, relaxed with PBE; Cu Kα (weighted mean of Kα1 and Kα2)).
No peak broadening, texture or thermal motion is included.

Cell and atoms:
```
data_CsCdBr3
_chemical_formula_sum 'Cs1 Cd1 Br3'
_cell_length_a 5.6232
_cell_length_b 5.6232
_cell_length_c 5.6232
_cell_angle_alpha 90.00
_cell_angle_beta 90.00
_cell_angle_gamma 90.00
_space_group_name_H-M_alt 'P m -3 m'
_space_group_IT_number 221
_space_group_name_Hall '-P 4 2 3'
loop_
_atom_site_label
_atom_site_type_symbol
_atom_site_fract_x
_atom_site_fract_y
_atom_site_fract_z
Cs1 Cs 0.0000 0.0000 0.0000
Cd1 Cd 0.5000 0.5000 0.5000
Br1 Br 0.0000 0.5000 0.5000
```

Principal peaks in the range 2θ from 15° to 90°, sorted by position:
2θ = 22.36°, rel. 53, (1 1 0); 2θ = 27.47°, rel. 56, (1 1 1); 2θ = 31.83°, rel. 100, (2 0 0); 2θ = 39.24°, rel. 25, (2 1 1); 2θ = 45.63°, rel. 72, (2 2 0); 2θ = 54.09°, rel. 24, (3 1 1); 2θ = 56.71°, rel. 25, (2 2 2); 2θ = 61.72°, rel. 13, (3 2 1); 2θ = 75.63°, rel. 32, (4 2 0); 2θ = 84.39°, rel. 24, (4 2 2)

=====

Structure and calculated powder diffractogram of K2CeCuI6 (a crystal structure in the Materials Project, relaxed with PBE; Cu Kα (weighted mean of Kα1 and Kα2)).
No peak broadening, texture or thermal motion is included.

Cell and atoms:
```
data_K2CeCuI6
_chemical_formula_sum 'K8 Ce4 Cu4 I24'
_cell_length_a 11.9589
_cell_length_b 11.9589
_cell_length_c 11.9589
_cell_angle_alpha 90.00
_cell_angle_beta 90.00
_cell_angle_gamma 90.00
_space_group_name_H-M_alt 'F m -3 m'
_space_group_IT_number 225
_space_group_name_Hall '-F 4 2 3'
loop_
_atom_site_label
_atom_site_type_symbol
_atom_site_fract_x
_atom_site_fract_y
_atom_site_fract_z
K1 K 0.2500 0.2500 0.2500
Ce1 Ce 0.0000 0.0000 0.0000
Cu1 Cu 0.0000 0.0000 0.5000
I1 I 0.0000 0.0000 0.2606
```

Principal peaks in the range 2θ from 15° to 90°, sorted by position:
2θ = 25.81°, rel. 70, (2 2 2); 2θ = 29.89°, rel. 100, (4 0 0); 2θ = 33.51°, rel. 38, (4 2 0); 2θ = 42.77°, rel. 72, (4 4 0); 2θ = 45.51°, rel. 20, (6 0 0); 2θ = 50.63°, rel. 30, (6 2 2); 2θ = 53.05°, rel. 25, (4 4 4); 2θ = 62.09°, rel. 11, (8 0 0); 2θ = 70.42°, rel. 30, (8 4 0); 2θ = 78.34°, rel. 22, (8 4 4)

=====

Structure and calculated powder diffractogram of KCr3S5 (a crystal structure in the Materials Project, relaxed with PBE; Cu Kα (weighted mean of Kα1 and Kα2)).
No peak broadening, texture or thermal motion is included.

Cell and atoms:
```
data_KCr3S5
_chemical_formula_sum 'K4 Cr12 S20'
_cell_length_a 19.3356
_cell_length_b 3.5343
_cell_length_c 12.1881
_cell_angle_alpha 90.00
_cell_angle_beta 123.16
_cell_angle_gamma 90.00
_space_group_name_H-M_alt 'C 1 2/m 1'
_space_group_IT_number 12
loop_
_space_group_symop_operation_xyz
'x,y,z'
'-x,-y,-z'
'-x,y,-z'
'x,-y,z'
'x+1/2,y+1/2,z'
'-x+1/2,-y+1/2,-z'
'-x+1/2,y+1/2,-z'
'x+1/2,-y+1/2,z'
loop_
_atom_site_label
_atom_site_type_symbol
_atom_site_fract_x
_atom_site_fract_y
_atom_site_fract_z
K1 K 0.2407 0.0000 0.3238
Cr1 Cr 0.0000 0.0000 0.0000
Cr2 Cr 0.0000 0.0000 0.5000
Cr3 Cr 0.0171 0.5000 0.2730
Cr4 Cr 0.1651 0.5000 0.8884
S1 S 0.0753 0.0000 0.8913
S2 S 0.0755 0.5000 0.6512
S3 S 0.0800 0.5000 0.1524
S4 S 0.0926 0.0000 0.4209
S5 S 0.2438 0.0000 0.8826
```

Principal peaks in the range 2θ from 15° to 90°, sorted by position:
2θ = 21.97°, rel. 24, (4 0 0); 2θ = 32.55°, rel. 45, (6 0 -4); 2θ = 32.98°, rel. 100, (1 1 2); 2θ = 34.46°, rel. 28, (5 1 -2); 2θ = 38.84°, rel. 22, (8 0 -4); 2θ = 39.55°, rel. 34, (3 1 2); 2θ = 41.66°, rel. 50, (7 1 -2); 2θ = 48.16°, rel. 32, (5 1 2); 2θ = 51.74°, rel. 42, (0 2 0); 2θ = 51.93°, rel. 50, (5 1 -6)

=====

Structure and calculated powder diffractogram of Th3Pb (a crystal structure in the Materials Project, relaxed with PBE; Cu Kα (weighted mean of Kα1 and Kα2)).
No peak broadening, texture or thermal motion is included.

Cell and atoms:
```
data_Th3Pb
_chemical_formula_sum 'Th3 Pb1'
_cell_length_a 4.9893
_cell_length_b 4.9893
_cell_length_c 4.9893
_cell_angle_alpha 90.00
_cell_angle_beta 90.00
_cell_angle_gamma 90.00
_space_group_name_H-M_alt 'P m -3 m'
_space_group_IT_number 221
_space_group_name_Hall '-P 4 2 3'
loop_
_atom_site_label
_atom_site_type_symbol
_atom_site_fract_x
_atom_site_fract_y
_atom_site_fract_z
Th1 Th 0.0000 0.0000 0.5000
Pb1 Pb 0.5000 0.5000 0.5000
```

Principal peaks in the range 2θ from 15° to 90°, sorted by position:
2θ = 31.05°, rel. 100, (1 1 1); 2θ = 36.00°, rel. 51, (2 0 0); 2θ = 51.83°, rel. 37, (2 2 0); 2θ = 61.66°, rel. 44, (3 1 1); 2θ = 64.72°, rel. 13, (2 2 2); 2θ = 76.35°, rel. 6, (4 0 0); 2θ = 84.68°, rel. 19, (3 3 1); 2θ = 87.42°, rel. 18, (4 2 0)

=====

Copy entry 8 word for word.
Structure and calculated powder diffractogram of Th3Pb (a crystal structure in the Materials Project, relaxed with PBE; Cu Kα (weighted mean of Kα1 and Kα2)).
No peak broadening, texture or thermal motion is included.

Cell and atoms:
```
data_Th3Pb
_chemical_formula_sum 'Th3 Pb1'
_cell_length_a 4.9893
_cell_length_b 4.9893
_cell_length_c 4.9893
_cell_angle_alpha 90.00
_cell_angle_beta 90.00
_cell_angle_gamma 90.00
_space_group_name_H-M_alt 'P m -3 m'
_space_group_IT_number 221
_space_group_name_Hall '-P 4 2 3'
loop_
_atom_site_label
_atom_site_type_symbol
_atom_site_fract_x
_atom_site_fract_y
_atom_site_fract_z
Th1 Th 0.0000 0.0000 0.5000
Pb1 Pb 0.5000 0.5000 0.5000
```

Principal peaks in the range 2θ from 15° to 90°, sorted by position:
2θ = 31.05°, rel. 100, (1 1 1); 2θ = 36.00°, rel. 51, (2 0 0); 2θ = 51.83°, rel. 37, (2 2 0); 2θ = 61.66°, rel. 44, (3 1 1); 2θ = 64.72°, rel. 13, (2 2 2); 2θ = 76.35°, rel. 6, (4 0 0); 2θ = 84.68°, rel. 19, (3 3 1); 2θ = 87.42°, rel. 18, (4 2 0)